For Rb2ZnGaBi2, a PBE-relaxed structure gives the calculated X-ray diffraction stick pattern in this record (CuKα).

Crystal structure
a = 9.7937 Å, b = 9.7937 Å, c = 9.7937 Å
α = 137.13°, β = 62.35°, γ = 136.99°
Fractional positions:
Rb  0.1634  0.2468  0.4102
Rb  0.3366  0.7468  0.0834
Rb  0.6634  0.2532  0.9166
Rb  0.8366  0.7532  0.5898
Zn  0.2500  0.7500  0.5000
Zn  0.7500  0.2500  0.5000
Ga  0.2500  0.2500  0.0000
Ga  0.7500  0.7500  0.0000
Bi  0.0923  0.7430  0.8353
Bi  0.4077  0.2430  0.6507
Bi  0.5923  0.7570  0.3493
Bi  0.9077  0.2570  0.1647

Peak list (8 most intense, 10 to 80 degrees two-theta, in order of rising 2θ)
two_theta	d/Å	I_rel
10.56	8.379	58.5
20.48	4.337	49.8
24.84	3.585	63.2
27.62	3.230	100.0
32.88	2.724	89.0
35.41	2.535	70.7
45.49	1.994	52.0
46.93	1.936	39.8